Structure and calculated X-ray diffraction stick pattern of LiMnGaF6 (a structure optimized by DFT (GGA+U); a wavelength of 1.5418 Å).
Lines closer than 0.1° are merged.

Top 12 peaks for 5° ≤ 2θ ≤ 70°, in order of rising 2θ:
2θ (°), intensity
20.2, 90
21.9, 87
27.5, 100
30.0, 60
35.4, 24
36.4, 40
40.2, 66
42.9, 21
45.4, 19
52.5, 97
56.1, 28
63.5, 35

Structure:
```
data_LiMnGaF6
_chemical_formula_sum 'Li3 Mn3 Ga3 F18'
_cell_length_a 8.7848
_cell_length_b 8.7848
_cell_length_c 4.8034
_cell_angle_alpha 90.00
_cell_angle_beta 90.00
_cell_angle_gamma 120.00
_space_group_name_H-M_alt 'P 3 2 1'
_space_group_IT_number 150
_space_group_name_Hall 'P 3 2"'
loop_
_atom_site_label
_atom_site_type_symbol
_atom_site_fract_x
_atom_site_fract_y
_atom_site_fract_z
_atom_site_occupancy
Li1 Li 0.0000 0.2953 0.0000 1
Mn1 Mn 0.0000 0.6367 0.5000 1
Ga1 Ga 0.0000 0.0000 0.5000 1
Ga2 Ga 0.3333 0.6667 0.0026 1
F1 F 0.0981 0.8877 0.2777 1
F2 F 0.1254 0.5434 0.2277 1
F3 F 0.2223 0.7659 0.7807 1
```